1.
Diffraction record for BaLiZr2F11. The PXRD pattern is calculated, not measured: it uses a structure optimized by DFT (PBE) and Cu Kα.

Atomic structure:
```
BaLiZr2F11
1.0
-4.1688 4.1688 5.7280
4.1688 -4.1688 5.7280
4.1688 4.1688 -5.7280
Ba Li Zr F
2 2 4 22
direct
0.1932 0.1932 0.0000
0.8068 0.8068 0.0000
0.2500 0.7500 0.5000
0.7500 0.2500 0.5000
0.2150 0.3635 0.5785
0.3635 0.7850 0.1484
0.6365 0.2150 0.8516
0.7850 0.6365 0.4215
0.0000 0.5000 0.5000
0.0524 0.8381 0.5639
0.1212 0.8140 0.9352
0.1619 0.7258 0.2143
0.1860 0.1212 0.3072
0.1905 0.4683 0.8675
0.2742 0.4885 0.4361
0.3229 0.1905 0.7222
0.3992 0.6771 0.8675
0.4683 0.6008 0.2778
0.4885 0.0524 0.2143
0.5000 0.0000 0.5000
0.5115 0.9476 0.7857
0.5317 0.3992 0.7222
0.6008 0.3229 0.1325
0.6771 0.8095 0.2778
0.7258 0.5115 0.5639
0.8095 0.5317 0.1325
0.8140 0.8788 0.6928
0.8381 0.2742 0.7857
0.8788 0.1860 0.0648
0.9476 0.1619 0.4361
```

Main lines, by angle (10 to 90 degrees two-theta):
15.5°, intensity 27
21.6°, intensity 35
25.1°, intensity 100
25.7°, intensity 31
26.4°, intensity 64
37.6°, intensity 36
45.9°, intensity 34
46.5°, intensity 32
46.8°, intensity 24
48.9°, intensity 25

---

2.
Diffraction record for BaMgF4. The PXRD pattern is calculated, not measured: it uses a structure optimized by DFT (PBE) and Cu Kα.

Atomic structure:
```
BaMgF4
1.0
2.1055 -7.2190 0.0000
2.1055 7.2190 0.0000
0.0000 0.0000 5.8413
Ba Mg F
2 2 8
direct
0.1420 0.8580 0.7500
0.8580 0.1420 0.2500
0.4082 0.5918 0.7500
0.5918 0.4082 0.2500
0.0820 0.9180 0.2500
0.3131 0.6869 0.5098
0.3131 0.6869 0.9902
0.5000 0.5000 0.0000
0.5000 0.5000 0.5000
0.6869 0.3131 0.0098
0.6869 0.3131 0.4902
0.9180 0.0820 0.7500
```

Main lines, by angle (10 to 90 degrees two-theta):
19.5°, intensity 64
24.7°, intensity 42
26.8°, intensity 100
28.2°, intensity 34
29.1°, intensity 27
38.0°, intensity 42
39.7°, intensity 40
40.9°, intensity 47
42.1°, intensity 41
43.0°, intensity 32

---

3.
Diffraction record for Ba2Mg3F10. The PXRD pattern is calculated, not measured: it uses a structure optimized by DFT (PBE) and Cu Kα.

Atomic structure:
```
Ba2Mg3F10
1.0
9.3720 -3.0163 0.0000
9.3720 3.0163 0.0000
-2.9696 0.0000 7.3505
Ba Mg F
4 6 20
direct
0.1137 0.1137 0.2191
0.2162 0.2162 0.8152
0.7838 0.7838 0.1848
0.8863 0.8863 0.7809
0.2460 0.7540 0.5000
0.3229 0.3229 0.4857
0.4258 0.4258 0.0459
0.5742 0.5742 0.9541
0.6771 0.6771 0.5143
0.7540 0.2460 0.5000
0.0000 0.5000 0.5000
0.0171 0.0171 0.6792
0.1135 0.5896 0.0254
0.1363 0.6421 0.4753
0.2637 0.2637 0.2220
0.2812 0.7188 0.0000
0.3579 0.8637 0.5247
0.3656 0.3656 0.7565
0.4104 0.8865 0.9746
0.4776 0.4776 0.3182
0.5000 0.0000 0.5000
0.5224 0.5224 0.6818
0.5896 0.1135 0.0254
0.6344 0.6344 0.2435
0.6421 0.1363 0.4753
0.7188 0.2812 0.0000
0.7363 0.7363 0.7780
0.8637 0.3579 0.5247
0.8865 0.4104 0.9746
0.9829 0.9829 0.3208
```

Main lines, by angle (10 to 90 degrees two-theta):
21.3°, intensity 20
21.4°, intensity 20
27.2°, intensity 100
27.7°, intensity 57
28.6°, intensity 40
29.6°, intensity 25
38.2°, intensity 24
38.6°, intensity 52
41.6°, intensity 69
49.6°, intensity 21

---

4.
Diffraction record for Ba6Mg11F34. The PXRD pattern is calculated, not measured: it uses a structure optimized by DFT (PBE) and Cu Kα.

Atomic structure:
```
Ba6Mg11F34
1.0
7.6314 0.0000 0.0000
3.1293 9.5592 0.0000
3.0674 0.5426 9.7040
Ba Mg F
6 11 34
direct
0.1371 0.4065 0.2685
0.1682 0.1576 0.9686
0.2840 0.8630 0.6571
0.7160 0.1370 0.3429
0.8318 0.8424 0.0314
0.8629 0.5935 0.7315
0.1960 0.7482 0.3009
0.2324 0.2437 0.6077
0.3112 0.4951 0.8149
0.3187 0.0131 0.2912
0.3937 0.7506 0.9903
0.5000 0.5000 0.5000
0.6063 0.2494 0.0097
0.6813 0.9869 0.7088
0.6888 0.5049 0.1851
0.7676 0.7563 0.3923
0.8040 0.2518 0.6991
0.0204 0.6389 0.4267
0.0567 0.6165 0.9013
0.0580 0.1316 0.7280
0.0820 0.1403 0.2542
0.1733 0.8879 0.9336
0.1806 0.3640 0.7653
0.1980 0.8801 0.4235
0.2348 0.6480 0.1353
0.2615 0.6019 0.6339
0.3022 0.1289 0.4416
0.3422 0.8733 0.1520
0.3583 0.3628 0.9728
0.3861 0.3536 0.4761
0.4241 0.0960 0.6857
0.4376 0.6058 0.3264
0.4427 0.6366 0.8312
0.4471 0.1301 0.1382
0.5529 0.8699 0.8618
0.5573 0.3634 0.1688
0.5624 0.3942 0.6736
0.5759 0.9040 0.3143
0.6139 0.6464 0.5239
0.6417 0.6372 0.0272
0.6578 0.1267 0.8480
0.6978 0.8711 0.5584
0.7385 0.3981 0.3661
0.7652 0.3520 0.8647
0.8020 0.1199 0.5765
0.8194 0.6360 0.2347
0.8267 0.1121 0.0664
0.9180 0.8597 0.7458
0.9420 0.8684 0.2720
0.9433 0.3835 0.0987
0.9796 0.3611 0.5733
```

Main lines, by angle (10 to 90 degrees two-theta):
18.6°, intensity 61
23.3°, intensity 56
24.6°, intensity 71
27.2°, intensity 72
27.6°, intensity 72
27.9°, intensity 77
37.7°, intensity 68
38.5°, intensity 73
39.2°, intensity 59
42.1°, intensity 100

---

5.
Diffraction record for BaMgF4. The PXRD pattern is calculated, not measured: it uses a structure optimized by DFT (PBE) and Cu Kα.

Atomic structure:
```
BaMgF4
1.0
2.0826 -7.4332 0.0000
2.0826 7.4332 0.0000
0.0000 0.0000 5.9347
Ba Mg F
2 2 8
direct
0.1504 0.8496 0.5000
0.8496 0.1504 0.0000
0.4162 0.5838 0.5422
0.5838 0.4162 0.0422
0.0784 0.9216 0.0561
0.3043 0.6957 0.7317
0.3377 0.6623 0.2744
0.4727 0.5273 0.8584
0.5273 0.4727 0.3584
0.6623 0.3377 0.7744
0.6957 0.3043 0.2317
0.9216 0.0784 0.5561
```

Main lines, by angle (10 to 90 degrees two-theta):
19.1°, intensity 67
23.9°, intensity 37
26.8°, intensity 100
28.0°, intensity 37
28.3°, intensity 39
37.7°, intensity 28
40.2°, intensity 55
41.6°, intensity 58
43.5°, intensity 28
51.5°, intensity 32

---

6.
Diffraction record for BaMgSnF7. The PXRD pattern is calculated, not measured: it uses a structure optimized by DFT (PBE) and Cu Kα.

Atomic structure:
```
BaMgSnF7
1.0
5.8020 0.0000 0.0000
0.0000 10.3703 0.0000
-0.4631 0.0000 9.9571
Ba Mg Sn F
4 4 4 28
direct
0.2287 0.1738 0.0047
0.2287 0.3262 0.5047
0.7713 0.6738 0.4953
0.7713 0.8262 0.9953
0.1943 0.6110 0.8069
0.1943 0.8890 0.3069
0.8057 0.1110 0.6931
0.8057 0.3890 0.1931
0.3016 0.6002 0.1825
0.3016 0.8998 0.6825
0.6984 0.1002 0.3175
0.6984 0.3998 0.8175
0.0153 0.7224 0.2465
0.0153 0.7776 0.7465
0.0927 0.5362 0.6346
0.0927 0.9638 0.1346
0.1160 0.0729 0.6170
0.1160 0.4271 0.1170
0.2581 0.7010 0.9886
0.2581 0.7990 0.4886
0.3561 0.0490 0.3747
0.3561 0.4510 0.8747
0.4050 0.5401 0.3792
0.4050 0.9599 0.8792
0.4721 0.7145 0.7448
0.4721 0.7855 0.2448
0.5279 0.2145 0.7552
0.5279 0.2855 0.2552
0.5950 0.0401 0.1208
0.5950 0.4599 0.6208
0.6439 0.5490 0.1253
0.6439 0.9510 0.6253
0.7419 0.2010 0.5114
0.7419 0.2990 0.0114
0.8840 0.5729 0.8830
0.8840 0.9271 0.3830
0.9073 0.0362 0.8654
0.9073 0.4638 0.3654
0.9847 0.2224 0.2535
0.9847 0.2776 0.7535
```

Main lines, by angle (10 to 90 degrees two-theta):
19.3°, intensity 35
24.4°, intensity 100
24.6°, intensity 45
25.6°, intensity 75
28.2°, intensity 45
30.9°, intensity 31
37.6°, intensity 25
39.3°, intensity 62
50.9°, intensity 43
52.3°, intensity 39

---

7.
Diffraction record for Ba3SrMg4F16. The PXRD pattern is calculated, not measured: it uses a structure optimized by DFT (PBE) and Cu Kα.

Atomic structure:
```
Ba3SrMg4F16
1.0
9.3828 -2.0615 0.0000
9.3828 2.0615 0.0000
-7.2007 0.0000 9.2539
Ba Sr Mg F
3 1 4 16
direct
0.0000 0.0000 0.0000
0.0007 0.0007 0.5002
0.7001 0.7001 0.4495
0.6900 0.6900 0.9348
0.2643 0.2643 0.2790
0.2646 0.2646 0.7909
0.4329 0.4329 0.2034
0.4347 0.4347 0.7042
0.1529 0.1529 0.7799
0.1537 0.1537 0.2667
0.1859 0.1859 0.5781
0.1910 0.1910 0.0657
0.3217 0.3217 0.0026
0.3234 0.3234 0.5001
0.3768 0.3768 0.8067
0.3793 0.3793 0.3102
0.5135 0.5135 0.1491
0.5171 0.5171 0.6543
0.5462 0.5462 0.4109
0.5487 0.5487 0.9110
0.7666 0.7666 0.8010
0.7682 0.7682 0.2926
0.9294 0.9294 0.7056
0.9309 0.9309 0.2065
```

Main lines, by angle (10 to 90 degrees two-theta):
19.2°, intensity 30
19.4°, intensity 32
24.0°, intensity 36
27.1°, intensity 100
28.2°, intensity 38
40.4°, intensity 29
40.7°, intensity 26
41.8°, intensity 31
42.2°, intensity 29
43.9°, intensity 30